Record 1
Starting from DFT lattice parameters and positions (GGA-PBE), the X-ray powder pattern of Sm7SiCl12 was computed for a wavelength of 1.5418 Å.
Neutral-atom scattering factors, no anomalous dispersion.

Structure:
a b c (Å): 8.9977 8.9977 8.9977
angles (deg): 107.59 107.59 107.59
Atoms (fractional coordinates):
Sm  0.0000  0.0000  0.0000
Sm  0.1702  0.3879  0.4698
Sm  0.3879  0.4698  0.1702
Sm  0.4698  0.1702  0.3879
Sm  0.5302  0.8298  0.6121
Sm  0.6121  0.5302  0.8298
Sm  0.8298  0.6121  0.5302
Si  0.5000  0.5000  0.5000
Cl  0.0327  0.3349  0.1153
Cl  0.1153  0.0327  0.3349
Cl  0.1886  0.7232  0.5773
Cl  0.2768  0.4227  0.8114
Cl  0.3349  0.1153  0.0327
Cl  0.4227  0.8114  0.2768
Cl  0.5773  0.1886  0.7232
Cl  0.6651  0.8847  0.9673
Cl  0.7232  0.5773  0.1886
Cl  0.8114  0.2768  0.4227
Cl  0.8847  0.9673  0.6651
Cl  0.9673  0.6651  0.8847

Principal peaks in the range 2θ from 10° to 90°, most intense first:
| 2θ (°) | intensity |
| --- | --- |
| 31.48 | 100.0 |
| 12.19 | 58.4 |
| 45.23 | 35.2 |
| 45.02 | 34.8 |
| 27.14 | 27.2 |
| 11.45 | 21.9 |
| 20.77 | 19.5 |
| 16.75 | 19.5 |
| 55.97 | 17.4 |
| 74.54 | 15.1 |



Record 2
Starting from DFT lattice parameters and positions (GGA-PBE), the X-ray powder pattern of SrSiCl2 was computed for a wavelength of 1.5418 Å.
Neutral-atom scattering factors, no anomalous dispersion.

Structure:
a b c (Å): 9.5403 3.9489 5.6567
angles (deg): 90.00 95.31 90.00
Atoms (fractional coordinates):
Sr  0.0000  0.0000  0.0000
Sr  0.5000  0.5000  0.0000
Si  0.0000  0.5000  0.5000
Si  0.5000  0.0000  0.5000
Cl  0.1997  0.5000  0.2344
Cl  0.3003  0.0000  0.7656
Cl  0.6997  0.0000  0.2344
Cl  0.8003  0.5000  0.7656

Principal peaks in the range 2θ from 10° to 90°, most intense first:
| 2θ (°) | intensity |
| --- | --- |
| 29.65 | 100.0 |
| 38.70 | 56.7 |
| 35.52 | 29.7 |
| 15.73 | 28.3 |
| 23.35 | 25.1 |
| 36.37 | 23.2 |
| 54.15 | 20.8 |
| 45.96 | 14.6 |
| 18.68 | 14.5 |
| 37.89 | 14.4 |



Record 3
Starting from DFT lattice parameters and positions (GGA-PBE), the X-ray powder pattern of SrSiCl2 was computed for a wavelength of 1.5418 Å.
Neutral-atom scattering factors, no anomalous dispersion.

Structure:
a b c (Å): 4.1120 5.2511 9.3181
angles (deg): 90.00 90.00 90.00
Atoms (fractional coordinates):
Sr  0.0000  0.0000  0.0000
Sr  0.5000  0.5000  0.5000
Si  0.0000  0.0000  0.5000
Si  0.5000  0.5000  0.0000
Cl  0.0000  0.5000  0.1861
Cl  0.0000  0.5000  0.8139
Cl  0.5000  0.0000  0.3139
Cl  0.5000  0.0000  0.6861

Principal peaks in the range 2θ from 10° to 90°, most intense first:
| 2θ (°) | intensity |
| --- | --- |
| 33.71 | 100.0 |
| 23.65 | 34.6 |
| 34.15 | 30.8 |
| 33.52 | 29.2 |
| 48.12 | 18.3 |
| 60.86 | 16.5 |
| 19.05 | 16.0 |
| 41.96 | 14.7 |
| 44.04 | 14.3 |
| 56.88 | 12.9 |



Record 4
Starting from DFT lattice parameters and positions (GGA-PBE), the X-ray powder pattern of Tl2SiCl was computed for a wavelength of 1.5418 Å.
Neutral-atom scattering factors, no anomalous dispersion.

Structure:
a b c (Å): 3.4733 4.9819 12.6652
angles (deg): 90.00 90.00 90.00
Atoms (fractional coordinates):
Tl  0.0000  0.0000  0.0000
Tl  0.0000  0.5000  0.2574
Tl  0.5000  0.0000  0.7574
Tl  0.5000  0.5000  0.5000
Si  0.0000  0.0000  0.5490
Si  0.5000  0.5000  0.0490
Cl  0.0000  0.5000  0.7271
Cl  0.5000  0.0000  0.2271

Principal peaks in the range 2θ from 10° to 90°, most intense first:
| 2θ (°) | intensity |
| --- | --- |
| 34.52 | 100.0 |
| 19.14 | 64.4 |
| 28.18 | 39.0 |
| 36.06 | 22.9 |
| 54.07 | 22.8 |
| 33.41 | 22.5 |
| 26.61 | 22.3 |
| 46.38 | 20.2 |
| 39.93 | 17.8 |
| 63.84 | 16.9 |



Record 5
Starting from DFT lattice parameters and positions (GGA-PBE), the X-ray powder pattern of SnCl was computed for a wavelength of 1.5418 Å.
Neutral-atom scattering factors, no anomalous dispersion.

Structure:
a b c (Å): 12.9578 5.3554 6.0080
angles (deg): 90.00 90.00 90.00
Atoms (fractional coordinates):
Sn  0.0000  0.0774  0.0000
Sn  0.2256  0.0047  0.9501
Sn  0.2744  0.9953  0.4501
Sn  0.5000  0.9226  0.5000
Sn  0.7256  0.9953  0.4501
Sn  0.7744  0.0047  0.9501
Cl  0.0000  0.1221  0.4118
Cl  0.1535  0.5422  0.9540
Cl  0.3465  0.4578  0.4540
Cl  0.5000  0.8779  0.9118
Cl  0.6535  0.4578  0.4540
Cl  0.8465  0.5422  0.9540

Principal peaks in the range 2θ from 10° to 90°, most intense first:
| 2θ (°) | intensity |
| --- | --- |
| 16.55 | 100.0 |
| 32.30 | 64.9 |
| 16.26 | 63.3 |
| 29.74 | 55.2 |
| 44.47 | 47.8 |
| 34.22 | 40.8 |
| 27.53 | 29.8 |
| 33.47 | 28.0 |
| 41.53 | 26.4 |
| 45.37 | 23.4 |



Record 6
Starting from DFT lattice parameters and positions (GGA-PBE), the X-ray powder pattern of Sr3SnCl8 was computed for a wavelength of 1.5418 Å.
Neutral-atom scattering factors, no anomalous dispersion.

Structure:
a b c (Å): 7.7819 7.7819 8.5241
angles (deg): 90.00 90.00 119.53
Atoms (fractional coordinates):
Sr  0.0000  0.0000  0.0000
Sr  0.0000  0.5000  0.7487
Sr  0.5000  0.0000  0.2513
Sn  0.0000  0.0000  0.5000
Cl  0.2116  0.2757  0.7477
Cl  0.2143  0.7857  0.5000
Cl  0.2169  0.7831  0.0000
Cl  0.2757  0.2116  0.2523
Cl  0.7243  0.7884  0.2523
Cl  0.7831  0.2169  0.0000
Cl  0.7857  0.2143  0.5000
Cl  0.7884  0.7243  0.7477

Principal peaks in the range 2θ from 10° to 90°, most intense first:
| 2θ (°) | intensity |
| --- | --- |
| 13.08 | 100.0 |
| 31.00 | 94.2 |
| 16.72 | 83.4 |
| 41.26 | 81.4 |
| 26.51 | 52.8 |
| 24.69 | 45.1 |
| 36.88 | 22.8 |
| 42.42 | 18.9 |
| 35.28 | 16.6 |
| 50.72 | 16.3 |



Record 7
Starting from DFT lattice parameters and positions (GGA-PBE), the X-ray powder pattern of SrSnCl6 was computed for a wavelength of 1.5418 Å.
Neutral-atom scattering factors, no anomalous dispersion.

Structure:
a b c (Å): 6.8683 12.0259 6.6644
angles (deg): 90.00 105.24 90.00
Atoms (fractional coordinates):
Sr  0.0000  0.0000  0.0000
Sr  0.5000  0.5000  0.0000
Sn  0.0000  0.5000  0.5000
Sn  0.5000  0.0000  0.5000
Cl  0.1990  0.3545  0.7267
Cl  0.1990  0.6455  0.7267
Cl  0.2492  0.5000  0.2899
Cl  0.2508  0.0000  0.7101
Cl  0.3010  0.1455  0.2733
Cl  0.3010  0.8545  0.2733
Cl  0.6990  0.1455  0.7267
Cl  0.6990  0.8545  0.7267
Cl  0.7492  0.0000  0.2899
Cl  0.7508  0.5000  0.7101
Cl  0.8010  0.3545  0.2733
Cl  0.8010  0.6455  0.2733

Principal peaks in the range 2θ from 10° to 90°, most intense first:
| 2θ (°) | intensity |
| --- | --- |
| 18.08 | 100.0 |
| 14.73 | 94.6 |
| 31.18 | 81.5 |
| 22.88 | 44.3 |
| 33.34 | 35.4 |
| 46.80 | 34.2 |
| 45.76 | 22.8 |
| 41.08 | 21.5 |
| 36.63 | 18.7 |
| 43.61 | 17.4 |



Record 8
Starting from DFT lattice parameters and positions (GGA-PBE), the X-ray powder pattern of SrSnCl4 was computed for a wavelength of 1.5418 Å.
Neutral-atom scattering factors, no anomalous dispersion.

Structure:
a b c (Å): 5.6806 5.6806 13.6473
angles (deg): 90.00 90.00 90.00
Atoms (fractional coordinates):
Sr  0.0000  0.0000  0.0000
Sr  0.5000  0.5000  0.5000
Sn  0.0000  0.5000  0.2500
Sn  0.5000  0.0000  0.7500
Cl  0.0000  0.0000  0.2157
Cl  0.0000  0.0000  0.7843
Cl  0.0000  0.5000  0.0403
Cl  0.0000  0.5000  0.4597
Cl  0.5000  0.0000  0.5403
Cl  0.5000  0.0000  0.9597
Cl  0.5000  0.5000  0.2843
Cl  0.5000  0.5000  0.7157

Principal peaks in the range 2θ from 10° to 90°, most intense first:
| 2θ (°) | intensity |
| --- | --- |
| 16.91 | 100.0 |
| 31.50 | 45.0 |
| 35.96 | 30.2 |
| 41.36 | 28.8 |
| 36.52 | 28.0 |
| 26.12 | 25.6 |
| 48.98 | 23.2 |
| 45.14 | 15.7 |
| 52.90 | 13.7 |
| 45.85 | 9.0 |



Record 9
Starting from DFT lattice parameters and positions (GGA-PBE), the X-ray powder pattern of TbTlSnCl6 was computed for a wavelength of 1.5418 Å.
Neutral-atom scattering factors, no anomalous dispersion.

Structure:
a b c (Å): 7.2832 7.2832 13.6313
angles (deg): 90.00 90.00 120.00
Atoms (fractional coordinates):
Tb  0.3333  0.6667  0.2500
Tb  0.6667  0.3333  0.7500
Tl  0.0000  0.0000  0.0000
Tl  0.0000  0.0000  0.5000
Sn  0.3333  0.6667  0.7500
Sn  0.6667  0.3333  0.2500
Cl  0.0200  0.3782  0.1383
Cl  0.0200  0.6418  0.3617
Cl  0.3582  0.3782  0.3617
Cl  0.3582  0.9800  0.1383
Cl  0.3782  0.0200  0.6383
Cl  0.3782  0.3582  0.8617
Cl  0.6218  0.6418  0.1383
Cl  0.6218  0.9800  0.3617
Cl  0.6418  0.0200  0.8617
Cl  0.6418  0.6218  0.6383
Cl  0.9800  0.3582  0.6383
Cl  0.9800  0.6218  0.8617

Principal peaks in the range 2θ from 10° to 90°, most intense first:
| 2θ (°) | intensity |
| --- | --- |
| 19.17 | 100.0 |
| 36.10 | 58.3 |
| 24.44 | 32.7 |
| 40.07 | 31.2 |
| 31.25 | 27.9 |
| 43.02 | 22.7 |
| 57.38 | 14.2 |
| 54.13 | 14.1 |
| 74.32 | 13.0 |
| 27.78 | 12.6 |



Record 10
Starting from DFT lattice parameters and positions (GGA-PBE), the X-ray powder pattern of TcSn2Cl was computed for a wavelength of 1.5418 Å.
Neutral-atom scattering factors, no anomalous dispersion.

Structure:
a b c (Å): 7.0901 7.0901 7.0901
angles (deg): 90.00 90.00 90.00
Atoms (fractional coordinates):
Tc  0.0000  0.0000  0.0000
Tc  0.0000  0.5000  0.5000
Tc  0.5000  0.0000  0.5000
Tc  0.5000  0.5000  0.0000
Sn  0.2500  0.2500  0.2500
Sn  0.2500  0.2500  0.7500
Sn  0.2500  0.7500  0.2500
Sn  0.2500  0.7500  0.7500
Sn  0.7500  0.2500  0.2500
Sn  0.7500  0.2500  0.7500
Sn  0.7500  0.7500  0.2500
Sn  0.7500  0.7500  0.7500
Cl  0.0000  0.0000  0.5000
Cl  0.0000  0.5000  0.0000
Cl  0.5000  0.0000  0.0000
Cl  0.5000  0.5000  0.5000

Principal peaks in the range 2θ from 10° to 90°, most intense first:
| 2θ (°) | intensity |
| --- | --- |
| 35.82 | 100.0 |
| 64.37 | 36.3 |
| 51.56 | 17.6 |
| 86.89 | 16.9 |
| 75.92 | 11.4 |
| 25.12 | 9.0 |
| 21.71 | 6.7 |
| 58.19 | 4.7 |
| 42.28 | 3.8 |
| 44.25 | 3.2 |



Record 11
Starting from DFT lattice parameters and positions (GGA-PBE), the X-ray powder pattern of Sn2TeCl was computed for a wavelength of 1.5418 Å.
Neutral-atom scattering factors, no anomalous dispersion.

Structure:
a b c (Å): 9.7233 9.7233 6.6255
angles (deg): 101.77 101.77 122.02
Atoms (fractional coordinates):
Sn  0.0529  0.4301  0.2320
Sn  0.1861  0.3120  0.7521
Sn  0.3120  0.1861  0.2521
Sn  0.4301  0.0529  0.7320
Sn  0.5699  0.9471  0.2680
Sn  0.6880  0.8139  0.7479
Sn  0.8139  0.6880  0.2479
Sn  0.9471  0.5699  0.7680
Te  0.0683  0.9317  0.7500
Te  0.3078  0.6922  0.7500
Te  0.6922  0.3078  0.2500
Te  0.9317  0.0683  0.2500
Cl  0.1743  0.8257  0.2500
Cl  0.4569  0.5431  0.2500
Cl  0.5431  0.4569  0.7500
Cl  0.8257  0.1743  0.7500

Principal peaks in the range 2θ from 10° to 90°, most intense first:
| 2θ (°) | intensity |
| --- | --- |
| 28.92 | 100.0 |
| 37.12 | 49.6 |
| 29.73 | 46.5 |
| 46.38 | 26.3 |
| 40.19 | 20.6 |
| 42.28 | 17.6 |
| 42.52 | 17.5 |
| 52.74 | 17.0 |
| 59.92 | 13.2 |
| 61.52 | 10.8 |



Record 12
Starting from DFT lattice parameters and positions (GGA-PBE), the X-ray powder pattern of TiSnCl5 was computed for a wavelength of 1.5418 Å.
Neutral-atom scattering factors, no anomalous dispersion.

Structure:
a b c (Å): 7.8066 3.8236 12.8299
angles (deg): 90.00 93.12 90.00
Atoms (fractional coordinates):
Ti  0.0875  0.2500  0.1374
Ti  0.9125  0.7500  0.8626
Sn  0.4126  0.7500  0.3554
Sn  0.5874  0.2500  0.6446
Cl  0.0892  0.2500  0.8072
Cl  0.1424  0.2500  0.3430
Cl  0.1617  0.7500  0.0102
Cl  0.3375  0.7500  0.5616
Cl  0.3938  0.2500  0.1591
Cl  0.6062  0.7500  0.8409
Cl  0.6625  0.2500  0.4384
Cl  0.8383  0.2500  0.9898
Cl  0.8576  0.7500  0.6570
Cl  0.9108  0.7500  0.1928

Principal peaks in the range 2θ from 10° to 90°, most intense first:
| 2θ (°) | intensity |
| --- | --- |
| 12.97 | 100.0 |
| 29.82 | 26.7 |
| 32.81 | 18.6 |
| 33.84 | 16.7 |
| 33.09 | 14.8 |
| 27.05 | 14.5 |
| 35.25 | 13.2 |
| 47.56 | 12.6 |
| 27.86 | 11.0 |
| 27.16 | 10.8 |